Starting from a crystal structure in OQMD, relaxed with PBE, the PXRD pattern of NdMg2H7 was calculated for Cu Kα (weighted mean of Kα1 and Kα2).

```
data_NdMg2H7
_chemical_formula_sum 'Nd4 Mg8 H28'
_cell_length_a 6.1944
_cell_length_b 6.1944
_cell_length_c 9.3149
_cell_angle_alpha 90.00
_cell_angle_beta 90.00
_cell_angle_gamma 90.00
_space_group_name_H-M_alt 'P 41 21 2'
_space_group_IT_number 92
loop_
_space_group_symop_operation_xyz
'x,y,z'
'-y+1/2,x+1/2,z+1/4'
'-x,-y,z+1/2'
'y+1/2,-x+1/2,z+3/4'
'x+1/2,-y+1/2,-z+3/4'
'-y,-x,-z+1/2'
'-x+1/2,y+1/2,-z+1/4'
'y,x,-z'
loop_
_atom_site_label
_atom_site_fract_x
_atom_site_fract_y
_atom_site_fract_z
Nd1 0.2273 0.2273 0.0000
Mg1 0.0277 0.7377 0.9009
H1 0.0348 0.9641 0.3783
H2 0.0629 0.4259 0.8231
H3 0.1596 0.6917 0.5025
H4 0.2426 0.7574 0.7500
```

Main lines, by intensity (10° ≤ 2θ ≤ 80°):
(1 1 2), 2θ = 27.96°, d = 3.191 Å, rel. 100
(1 0 1), 2θ = 17.19°, d = 5.158 Å, rel. 96
(2 1 1), 2θ = 33.76°, d = 2.655 Å, rel. 93
(1 0 3), 2θ = 32.25°, d = 2.775 Å, rel. 60
(2 0 0), 2θ = 28.83°, d = 3.097 Å, rel. 47
(3 1 2), 2θ = 50.55°, d = 1.806 Å, rel. 37